Computed powder diffraction line list of Zn2PtBr for λ = 1.5418 Å (Cu Kα), from a cell relaxed with GGA-PBE.
Intensities are scaled so that the largest is 100.

Structural model:
```
data_Zn2PtBr
_chemical_formula_sum 'Zn2 Pt1 Br1'
_symmetry_space_group_name_H-M 'P 1 2/m 1'
_symmetry_Int_Tables_number 10
_cell_length_a 3.4244
_cell_length_b 3.0840
_cell_length_c 7.2305
_cell_angle_alpha 90.00
_cell_angle_beta 90.08
_cell_angle_gamma 90.00
loop_
_symmetry_equiv_pos_as_xyz
'x,y,z'
'-x,-y,-z'
'-x,y,-z'
'x,-y,z'
loop_
_atom_site_label
_atom_site_type_symbol
_atom_site_fract_x
_atom_site_fract_y
_atom_site_fract_z
_atom_site_occupancy
Zn1 Zn 0.0008 0.0000 0.1913 1
Pt1 Pt 0.5000 0.5000 0.0000 1
Br1 Br 0.0000 0.5000 0.5000 1
```

Main lines, most intense first (10° ≤ 2θ ≤ 90°):
h k l	2theta	I (rel.)
0 0 1	12.24	100
1 1 -1	41.33	88
0 1 2	38.36	74
1 0 1	28.85	54
1 0 -3	46.05	49
1 1 0	39.32	31
1 0 2	36.13	28
2 1 2	67.75	27
0 0 2	24.62	23
1 1 5	78.16	21

Computed powder diffraction line list of PuTh2Se5 for λ = 1.5418 Å (Cu Kα), from a cell relaxed with GGA-PBE.
Intensities are scaled so that the largest is 100.

Structural model:
```
data_PuTh2Se5
_chemical_formula_sum 'Pu4 Th8 Se20'
_symmetry_space_group_name_H-M 'P n m a'
_symmetry_Int_Tables_number 62
_cell_length_a 12.7310
_cell_length_b 8.3396
_cell_length_c 7.8408
_cell_angle_alpha 90.00
_cell_angle_beta 90.00
_cell_angle_gamma 90.00
loop_
_symmetry_equiv_pos_as_xyz
'x,y,z'
'-x,-y,-z'
'-x+1/2,-y,z+1/2'
'x+1/2,y,-z+1/2'
'x+1/2,-y+1/2,-z+1/2'
'-x+1/2,y+1/2,z+1/2'
'-x,y+1/2,-z'
'x,-y+1/2,z'
loop_
_atom_site_label
_atom_site_type_symbol
_atom_site_fract_x
_atom_site_fract_y
_atom_site_fract_z
_atom_site_occupancy
Pu1 Pu 0.0039 0.2500 0.0715 1
Th1 Th 0.1803 0.5007 0.5137 1
Se1 Se 0.0016 0.2500 0.4644 1
Se2 Se 0.1063 0.5407 0.1618 1
Se3 Se 0.1834 0.2500 0.8223 1
Se4 Se 0.2123 0.7500 0.7957 1
```

Main lines, most intense first (10° ≤ 2θ ≤ 90°):
h k l	2theta	I (rel.)
2 2 2	34.42	100
3 0 1	23.84	79
3 2 1	32.17	65
5 2 1	43.20	58
2 2 0	25.54	56
1 2 1	25.18	47
0 0 2	22.68	42
4 2 0	35.48	39
0 4 0	43.40	36
8 2 2	67.35	36